# 1
Computed X-ray powder pattern
Compound: Li2FeCuP2O8
Radiation: Cu Kα
Structure: the GGA+U geometry in the Materials Project
No peak broadening, texture or thermal motion is included.

Most intense lines, 5° ≤ 2θ ≤ 70°, most intense first:
d (Å), I/Imax
3.023, 100
2.472, 88
3.469, 67
2.514, 56
4.306, 53
3.508, 52

Atomic structure:
```
Li2FeCuP2O8
1.0
4.7135 0.0000 0.0000
0.0000 6.0485 0.0000
-0.2246 0.0000 10.0782
Li Fe Cu P O
4 2 2 4 16
Cartesian
0.0000 0.0000 0.0000
0.0000 3.0242 0.0000
2.2445 0.0000 5.0391
2.2445 3.0242 5.0391
0.0373 1.5121 2.8329
4.4516 4.5363 7.2453
1.9380 1.5121 7.9072
2.5509 4.5363 2.1709
0.2897 4.5363 4.0622
1.7795 4.5363 9.1403
2.7094 1.5121 0.9379
4.1992 1.5121 6.0159
0.8959 3.2750 3.3758
0.8959 5.7977 3.3758
0.8568 4.5363 5.5070
1.0414 1.5121 6.0628
1.1843 1.5121 0.9707
1.1115 3.3172 8.4088
1.1115 5.7555 8.4088
1.4317 4.5363 0.5194
3.0572 1.5121 9.5588
3.3774 0.2929 1.6694
3.3774 2.7313 1.6694
3.3046 4.5363 9.1075
3.4475 4.5363 4.0153
3.6322 1.5121 4.5711
3.5930 0.2508 6.7023
3.5930 2.7734 6.7023
```

# 2
Computed X-ray powder pattern
Compound: Li2MnOF3
Radiation: Cu Kα
Structure: the GGA+U geometry in the Materials Project
No peak broadening, texture or thermal motion is included.

Most intense lines, 5° ≤ 2θ ≤ 70°, most intense first:
d (Å), I/Imax
4.811, 100
4.921, 92
2.119, 83
2.574, 47
4.229, 43
2.114, 42

Atomic structure:
```
Li2MnOF3
1.0
5.1129 -3.0210 0.0000
5.1129 3.0210 0.0000
-3.3436 0.0000 4.9206
Li Mn O F
4 2 2 6
Cartesian
0.0000 0.0000 0.0000
-1.6718 0.0000 2.4603
1.8637 0.0000 2.9198
5.0185 0.0000 2.0008
2.5565 1.5105 0.0000
2.5565 -1.5105 0.0000
1.8771 0.0000 0.9289
5.0051 0.0000 3.9917
4.1677 1.5824 1.1792
0.0319 0.0000 3.5839
2.7145 1.5824 3.7414
4.1677 -1.5824 1.1792
6.8503 0.0000 1.3367
2.7145 -1.5824 3.7414
```

# 3
Computed X-ray powder pattern
Compound: Li2MnFe2P3O12
Radiation: Cu Kα
Structure: the GGA+U geometry in the Materials Project
No peak broadening, texture or thermal motion is included.

Most intense lines, 5° ≤ 2θ ≤ 70°, most intense first:
d (Å), I/Imax
4.479, 100
2.586, 70
3.764, 45
3.717, 45
3.738, 44
2.725, 42

Atomic structure:
```
Li2MnFe2P3O12
1.0
7.3095 -4.4771 0.0000
7.3095 4.4771 0.0000
-4.4449 0.0000 7.2155
Li Mn Fe P O
4 2 4 6 24
Cartesian
0.0000 0.0000 0.0000
3.8965 1.7159 0.6757
6.2776 1.7159 6.5398
5.0870 -1.7763 3.6078
2.5809 -0.9741 1.8705
7.5932 -0.9741 5.3450
3.1045 3.5078 4.3544
7.0696 3.5078 2.8611
5.4996 -0.9408 0.7043
4.6745 -0.9408 6.5112
-1.4606 0.3518 5.7734
7.3095 1.8078 0.0000
5.0870 0.9146 3.6078
1.9690 -2.3300 4.9743
11.6347 0.3518 1.4421
8.2050 -2.3300 2.2412
-2.9521 -0.0086 5.6540
1.0193 0.5812 2.2835
2.2920 2.7909 6.1240
-0.6948 -0.1977 4.5741
3.9705 1.7884 4.1594
-0.9883 -0.2084 7.1569
7.8821 2.7909 1.0915
6.0905 0.9933 0.4352
6.2035 1.7884 3.0561
4.4715 -0.0489 2.5276
1.5096 -1.7290 3.6092
4.0836 0.9933 6.7803
1.0283 -1.9283 6.1283
5.7026 -0.0489 4.6879
4.0637 -2.5752 1.3776
3.4241 -1.8846 5.1450
6.7500 -1.8846 2.0705
9.1548 0.5812 4.9320
11.1624 -0.2084 0.0586
10.8689 -0.1977 2.6414
9.1457 -1.9283 1.0872
8.6645 -1.7290 3.6063
6.1104 -2.5752 5.8380
13.1262 -0.0086 1.5615
```

# 4
Computed X-ray powder pattern
Compound: Li7Mn5O12
Radiation: Cu Kα
Structure: the GGA+U geometry in the Materials Project
No peak broadening, texture or thermal motion is included.

Most intense lines, 5° ≤ 2θ ≤ 70°, most intense first:
d (Å), I/Imax
4.868, 100
2.212, 34
2.055, 28
2.027, 27
2.622, 15
2.448, 12

Atomic structure:
```
Li7Mn5O12
1.0
2.9785 0.0000 0.0000
-0.8090 7.7943 0.0000
-0.4365 -3.6748 9.5272
Li Mn O
7 5 12
Cartesian
0.0000 0.0000 0.0000
-0.3491 -0.9520 8.7904
0.0688 1.0729 3.9455
0.5398 6.8286 2.2328
1.1933 -2.7091 7.2944
1.6643 3.0466 5.5817
2.0821 5.0715 0.7368
-0.2183 -1.8374 4.7636
0.2384 3.9389 3.1736
0.1665 2.2091 7.9998
1.5666 1.9104 1.5274
1.4947 0.1806 6.3536
-0.2467 -1.2807 6.6830
0.0718 0.7068 1.9252
0.0947 3.2363 1.3042
0.2055 1.5918 6.0766
0.2347 4.5176 5.0599
0.5970 6.2722 0.2627
1.1361 -2.1527 9.2646
1.4984 -0.3981 4.4673
1.5275 2.5277 3.4506
1.6384 0.8832 8.2230
1.6612 3.4127 7.6020
1.9797 5.4002 2.8442
```

# 5
Computed X-ray powder pattern
Compound: Ni5Te2O12
Radiation: Cu Kα
Structure: the GGA+U geometry in the Materials Project
No peak broadening, texture or thermal motion is included.

Most intense lines, 5° ≤ 2θ ≤ 70°, most intense first:
d (Å), I/Imax
2.140, 100
4.844, 97
3.695, 78
4.521, 60
2.419, 59
2.024, 44

Atomic structure:
```
Ni5Te2O12
1.0
2.5401 -4.5206 0.0000
2.5401 4.5206 0.0000
-2.2634 0.0000 9.6885
Ni Te O
5 2 12
Cartesian
0.0000 0.0000 0.0000
0.6523 -1.7061 2.3550
1.4084 -0.0524 4.8443
1.4084 -3.1228 4.8443
2.1644 -1.7061 7.3335
1.4084 2.9490 4.8443
2.5401 -1.5541 0.0000
1.6511 3.2446 1.0636
-0.2855 -0.2137 3.7414
0.5763 1.5679 5.9539
1.1657 3.2446 8.6249
1.5244 -0.2829 1.1300
2.2405 1.5679 3.7346
0.5325 -1.5855 5.9168
1.2923 -0.2829 8.5585
1.8345 -2.9966 1.0841
2.2843 -1.5855 3.7717
3.1022 -0.2137 5.9471
0.9822 -2.9966 8.6044
```

# 6
Computed X-ray powder pattern
Compound: Li2CoCSO7
Radiation: Cu Kα
Structure: the GGA+U geometry in the Materials Project
No peak broadening, texture or thermal motion is included.

Most intense lines, 5° ≤ 2θ ≤ 70°, most intense first:
d (Å), I/Imax
8.860, 100
3.223, 61
3.502, 41
4.136, 34
5.212, 32
4.547, 29

Atomic structure:
```
Li2CoCSO7
1.0
4.9888 0.0000 0.0000
-0.0053 6.4452 0.0000
-1.9778 -0.0280 17.7203
Li Co C S O
8 4 4 4 28
Cartesian
0.0000 0.0000 0.0000
-0.0005 3.0193 0.0008
-0.9679 -0.0086 8.8472
-0.9685 3.0055 8.8534
2.5012 3.2281 3.2621
2.4996 6.2483 3.2652
1.5309 3.2131 12.1094
1.5263 6.2342 12.1154
-0.4396 4.7316 4.7485
-1.4076 4.7240 13.6059
0.9564 1.4827 16.2342
1.9946 1.5171 7.3589
0.0392 4.7351 2.2588
-0.9378 4.7221 11.1135
2.4632 1.5131 1.0050
1.4903 1.4949 9.8552
-1.3852 1.4963 14.1366
-0.3930 1.5068 5.2921
1.8996 4.7253 6.8314
0.9342 4.7105 15.7054
0.3139 4.7327 1.0139
-0.6658 4.7213 9.8678
0.4174 4.7377 6.6341
-0.5465 4.7208 15.4958
0.9771 4.7368 3.1881
0.0026 4.7206 12.0416
1.5239 1.5131 0.0763
0.5490 1.4818 8.9316
0.0958 1.4860 14.3458
1.0880 1.4817 5.4838
2.1890 1.5147 2.2505
1.2180 1.4998 11.1009
2.2931 3.5418 7.6469
1.3213 3.5198 16.5136
2.5486 4.6979 5.4972
2.3248 5.9198 7.6101
1.3354 5.8992 16.5116
1.5954 4.7076 14.3792
3.6928 1.5110 0.5530
2.7246 1.5023 9.4084
3.7975 4.7359 2.7111
2.8220 4.7245 11.5678
4.1670 0.3183 4.5030
2.9431 1.5000 15.4642
3.2015 0.3075 13.3318
3.9589 1.5332 6.6332
4.2041 2.6923 4.4798
3.2159 2.6868 13.3289
```

# 7
Computed X-ray powder pattern
Compound: Li9Mn7O16
Radiation: Cu Kα
Structure: the GGA+U geometry in the Materials Project
No peak broadening, texture or thermal motion is included.

Most intense lines, 5° ≤ 2θ ≤ 70°, most intense first:
d (Å), I/Imax
4.852, 100
2.048, 55
2.218, 34
2.478, 23
2.653, 18
1.511, 16

Atomic structure:
```
Li9Mn7O16
1.0
5.8451 0.0000 0.0000
0.0000 2.8709 0.0000
-0.2300 0.0000 17.7433
Li Mn O
9 7 16
Cartesian
0.0000 0.0000 0.0000
-0.1150 0.0000 8.8716
1.3737 1.4354 6.6702
1.2902 1.4354 15.7145
2.7446 0.0000 13.4268
2.9226 0.0000 0.0000
2.8705 0.0000 4.3165
4.3250 1.4354 2.0288
4.2414 1.4354 11.0731
-0.0418 0.0000 4.3107
1.3063 1.4354 11.1456
1.4628 1.4354 2.0207
2.8076 0.0000 8.8716
4.1523 1.4354 15.7226
4.3088 1.4354 6.5977
5.6569 0.0000 13.4326
-0.0340 0.0000 11.0933
0.1268 0.0000 2.1255
1.1432 1.4354 13.3931
1.2975 1.4354 4.2384
1.4745 1.4354 0.2201
1.4743 1.4354 8.8298
2.7493 0.0000 2.2020
2.6476 0.0000 11.1664
2.9675 0.0000 6.5769
2.8658 0.0000 15.5412
4.1408 1.4354 8.9135
4.1406 1.4354 17.5232
4.3176 1.4354 13.5049
4.4720 1.4354 4.3502
5.4883 0.0000 15.6177
5.6491 0.0000 6.6500
```

# 8
Computed X-ray powder pattern
Compound: LaWO2
Radiation: Cu Kα
Structure: the GGA+U geometry in the Materials Project
No peak broadening, texture or thermal motion is included.

Most intense lines, 5° ≤ 2θ ≤ 70°, most intense first:
d (Å), I/Imax
2.867, 100
3.139, 39
2.278, 37
1.844, 34
1.755, 30
1.404, 25

Atomic structure:
```
LaWO2
1.0
-3.2222 3.2222 6.2782
3.2222 -3.2222 6.2782
3.2222 3.2222 -6.2782
La W O
4 4 8
Cartesian
0.0000 0.0000 0.0000
1.6111 1.6111 -3.1391
1.6111 -1.6111 3.1391
0.0000 3.2222 0.0000
3.2222 0.0000 0.0000
-1.6111 1.6111 3.1391
0.0000 0.0000 6.2782
1.6111 1.6111 3.1391
1.8463 1.6111 -0.6734
4.5981 1.6111 -0.6734
0.0000 0.2352 2.4657
3.2222 0.2352 3.8125
0.0000 2.9870 2.4657
3.2222 2.9870 3.8125
-1.3759 1.6111 6.9516
1.3759 1.6111 6.9516
```